Record 1
Diffraction record for V2CdP2O10. The powder diffraction line list is simulated, not measured: it uses a GGA+U-relaxed structure and Cu Kα X-rays.
Lines closer than 0.1° are merged.

The 10 most intense peaks (2θ = 15–90°), low angle first:
2θ/deg	I/Imax
21.9	615
26.7	829
29.0	645
31.0	269
31.1	1000
36.6	640
41.3	262
47.4	298
52.7	327
55.4	251

Structural model:
```
30
Lattice="0.000 8.117 3.637 5.802 0.000 3.637 5.802 8.117 0.000" Properties=species:S:1:pos:R:3 pbc="T T T"
V 7.129 1.946 3.637
V 4.228 2.113 1.818
V 1.574 6.004 1.818
V 4.475 14.287 3.637
Cd 5.802 8.117 2.836
Cd 8.704 12.175 4.654
P 5.798 4.735 2.798
P 8.708 8.793 4.616
P 5.807 11.498 2.798
P 2.897 7.440 4.616
O 7.434 8.352 1.132
O 2.880 2.697 0.959
O 5.654 5.678 1.588
O 2.922 5.420 0.959
O 4.533 3.823 2.950
O 4.171 7.881 1.132
O 8.852 9.736 3.407
O 5.951 10.556 1.588
O 5.970 5.630 4.041
O 7.472 7.846 4.453
O 7.072 12.410 2.950
O 2.753 6.497 3.407
O 8.536 9.688 5.859
O 5.634 10.604 4.041
O 10.373 12.446 6.271
O 4.133 8.388 4.453
O 5.824 6.755 6.414
O 8.872 14.662 5.859
O 5.781 9.478 6.414
O 7.034 11.904 6.271
```

***

Record 2
Diffraction record for LiMnP4O12. The powder diffraction line list is simulated, not measured: it uses a GGA+U-relaxed structure and Cu Kα X-rays.
Lines closer than 0.1° are merged.

The 10 most intense peaks (2θ = 15–90°), low angle first:
2θ/deg	I/Imax
17.7	644
20.2	560
22.5	644
26.0	1000
27.8	186
31.5	232
32.7	279
33.1	389
33.2	225
44.9	167

Structural model:
```
36
Lattice="8.130 -3.801 0.000 8.130 3.801 0.000 -6.152 0.000 7.921" Properties=species:S:1:pos:R:3 pbc="T T T"
Li 3.516 2.509 5.941
Li 6.592 -2.509 1.980
Mn 6.592 1.606 1.980
Mn 3.516 -1.606 5.941
P 0.449 2.466 7.034
P 3.675 0.566 2.754
P 6.583 2.466 4.847
P 0.599 -0.566 6.715
P 9.509 0.566 1.206
P 3.525 -2.466 3.074
P 6.433 -0.566 5.167
P 9.659 -2.466 0.887
O 1.544 2.770 6.101
O 6.736 2.912 0.593
O 2.950 0.723 1.313
O 3.290 1.600 3.734
O 6.448 2.912 3.368
O 0.073 0.891 7.191
O 5.488 2.770 5.781
O -0.126 -0.723 5.274
O 5.149 0.378 2.370
O 9.895 1.600 0.226
O 3.149 -0.891 3.230
O 2.073 -0.378 6.331
O 8.035 0.378 1.590
O 6.959 0.891 4.691
O 0.213 -1.600 7.695
O 4.959 -0.378 5.551
O 10.234 0.723 2.647
O 4.620 -2.770 2.140
O 10.035 -0.891 0.731
O 3.660 -2.912 4.553
O 6.818 -1.600 4.187
O 7.158 -0.723 6.608
O 3.372 -2.912 7.329
O 8.564 -2.770 1.820
```

***

Record 3
Diffraction record for MgV4ZnO10. The powder diffraction line list is simulated, not measured: it uses a GGA+U-relaxed structure and Cu Kα X-rays.
Lines closer than 0.1° are merged.

The 10 most intense peaks (2θ = 15–90°), low angle first:
2θ/deg	I/Imax
17.4	1000
23.5	339
25.6	914
26.8	227
29.4	862
35.1	546
36.8	228
49.3	343
53.8	226
61.3	304

Structural model:
```
16
Lattice="11.338 0.000 0.000 0.000 1.847 5.104 0.000 -1.847 5.104" Properties=species:S:1:pos:R:3 pbc="T T T"
Mg 0.000 0.000 0.000
V 1.714 0.000 7.057
V 3.931 0.000 0.969
V 7.407 0.000 0.969
V 9.624 0.000 7.057
Zn 5.669 0.000 8.056
O 0.000 0.000 6.021
O 1.372 0.000 8.688
O 1.956 0.000 1.283
O 3.676 0.000 6.716
O 4.293 0.000 9.549
O 5.669 0.000 1.999
O 7.045 0.000 9.549
O 7.662 0.000 6.716
O 9.382 0.000 1.283
O 9.966 0.000 8.688
```

***

Record 4
Diffraction record for Fe2S3O23. The powder diffraction line list is simulated, not measured: it uses a GGA+U-relaxed structure and Cu Kα X-rays.
Lines closer than 0.1° are merged.

The 10 most intense peaks (2θ = 15–90°), low angle first:
2θ/deg	I/Imax
16.9	217
18.9	252
19.2	1000
19.9	797
21.3	358
22.7	523
24.3	188
26.4	179
29.4	170
33.6	189

Structural model:
```
56
Lattice="6.527 0.000 0.000 -1.961 6.759 0.000 -2.426 -1.837 25.034" Properties=species:S:1:pos:R:3 pbc="T T T"
Fe -1.482 1.556 9.385
Fe 0.059 -0.560 22.685
Fe 2.082 5.482 2.349
Fe 3.623 3.366 15.648
S -3.255 3.332 23.028
S -1.209 2.427 18.048
S 0.170 4.137 10.579
S 1.971 0.785 14.455
S 3.350 2.494 6.986
S 5.396 1.590 2.006
O -1.480 0.611 11.275
O -2.196 -0.681 20.560
O -0.658 -0.650 8.876
O -0.886 2.531 3.097
O -0.016 -0.128 5.108
O 0.103 0.953 1.531
O -1.877 1.117 18.014
O -2.128 3.480 17.388
O -1.755 3.748 13.995
O -2.554 2.706 24.155
O 0.367 -0.302 8.266
O -0.557 3.147 9.645
O -2.322 4.423 22.420
O -0.982 0.039 23.835
O -0.801 4.644 11.556
O -0.956 2.845 19.431
O 0.449 5.330 2.066
O 0.524 4.759 5.887
O 0.051 2.372 17.283
O 0.854 1.483 13.814
O 0.129 1.065 22.038
O 1.020 -0.783 19.651
O 1.498 -0.324 15.295
O 0.643 5.246 9.739
O 1.121 5.704 5.382
O 2.012 3.857 2.995
O 1.287 3.439 11.220
O 2.090 2.550 7.750
O 1.617 0.163 19.146
O 1.692 -0.408 22.967
O 3.097 2.077 5.602
O 2.942 0.278 13.477
O 3.123 4.883 1.199
O 4.463 0.499 2.613
O 2.698 1.775 15.388
O 1.774 5.224 16.768
O 4.695 2.216 0.878
O 3.896 1.174 11.039
O 4.269 1.442 7.645
O 4.018 3.805 7.020
O 2.038 3.969 23.503
O 2.157 5.050 19.926
O 3.027 2.391 21.937
O 2.799 5.571 16.158
O 4.337 5.603 4.474
O 3.621 4.311 13.759
```